Record 1
For Li4Tm3TiS8, a GGA-PBE-relaxed structure gives the computed XRD peak list in this record (a wavelength of 1.5418 Å).

Peak list (12 most intense, 15 to 90 degrees two-theta, most intense first)
| 2θ/deg | intensity |
| --- | --- |
| 33.60 | 100 |
| 27.70 | 77 |
| 36.73 | 35 |
| 48.18 | 35 |
| 48.34 | 34 |
| 50.56 | 27 |
| 44.19 | 26 |
| 28.96 | 19 |
| 60.02 | 18 |
| 80.65 | 15 |
| 80.42 | 15 |
| 16.62 | 11 |

```
data_Li4Tm3TiS8
_chemical_formula_sum 'Li12 Tm9 Ti3 S24'
_symmetry_space_group_name_H-M 'R -3 m'
_symmetry_Int_Tables_number 166
_symmetry_space_group_name_Hall '-R 3 2"'
_cell_length_a 7.5548
_cell_length_b 7.5548
_cell_length_c 18.4221
_cell_angle_alpha 90.00
_cell_angle_beta 90.00
_cell_angle_gamma 120.00
loop_
_atom_site_label
_atom_site_fract_x
_atom_site_fract_y
_atom_site_fract_z
Li1 0.0000 0.0000 0.0000
Li2 0.0000 0.5000 0.0000
Tm1 0.0000 0.5000 0.5000
Ti1 0.0000 0.0000 0.5000
S1 0.0000 0.0000 0.2506
S2 0.0158 0.5079 0.2476
```



Record 2
For Li3Zr3TiS8, a GGA-PBE-relaxed structure gives the computed XRD peak list in this record (a wavelength of 1.5418 Å).

Peak list (12 most intense, 15 to 90 degrees two-theta, most intense first)
| 2θ/deg | intensity |
| --- | --- |
| 34.59 | 100 |
| 29.16 | 41 |
| 48.44 | 36 |
| 50.97 | 30 |
| 37.50 | 19 |
| 53.15 | 16 |
| 44.49 | 15 |
| 85.26 | 13 |
| 63.03 | 10 |
| 72.95 | 10 |
| 81.33 | 10 |
| 58.64 | 6 |

```
data_Li3Zr3TiS8
_chemical_formula_sum 'Li6 Zr6 Ti2 S16'
_symmetry_space_group_name_H-M 'C 1 2/m 1'
_symmetry_Int_Tables_number 12
_cell_length_a 12.406
_cell_length_b 7.171
_cell_length_c 7.528
_cell_angle_alpha 90.00
_cell_angle_beta 123.23
_cell_angle_gamma 90.00
loop_
_symmetry_equiv_pos_as_xyz
'x,y,z'
'-x,-y,-z'
'-x,y,-z'
'x,-y,z'
'x+1/2,y+1/2,z'
'-x+1/2,-y+1/2,-z'
'-x+1/2,y+1/2,-z'
'x+1/2,-y+1/2,z'
loop_
_atom_site_label
_atom_site_fract_x
_atom_site_fract_y
_atom_site_fract_z
Li1 0.000 0.000 0.000
Li2 0.250 0.250 0.000
Zr1 0.000 0.500 0.500
Zr2 0.250 0.250 0.500
Ti1 0.000 0.000 0.500
S1 0.001 0.241 0.260
S2 0.241 0.000 0.740
S3 0.249 0.000 0.248
```